Simulated X-ray powder pattern
Compound: Ba2LiMn2O6
Radiation: Cu Kα (weighted mean of Kα1 and Kα2)
Structure: a crystal structure in Alexandria, relaxed with PBE+U
Kinematic intensities with the Lorentz-polarization factor, no thermal factor.

```
data_Ba2LiMn2O6
_chemical_formula_sum 'Ba4 Li2 Mn4 O12'
_symmetry_space_group_name_H-M 'C 1 m 1'
_symmetry_Int_Tables_number 8
_symmetry_space_group_name_Hall 'C -2y'
_cell_length_a 10.8481
_cell_length_b 5.8591
_cell_length_c 5.2576
_cell_angle_alpha 90.00
_cell_angle_beta 106.34
_cell_angle_gamma 90.00
loop_
_atom_site_label
_atom_site_fract_x
_atom_site_fract_y
_atom_site_fract_z
Ba1 0.0000 0.0000 0.0000
Ba2 0.2126 0.5000 0.3785
Li1 0.0466 0.5000 0.7607
Mn1 0.3187 0.0000 0.7634
Mn2 0.3416 0.0000 0.2710
O1 0.1767 0.0000 0.4609
O2 0.2616 0.2259 0.9813
O3 0.4061 0.2137 0.5704
O4 0.4849 0.0000 0.0561
```

Most intense lines, 10 to 90 degrees two-theta, in order of rising 2θ:
- 4.273 Å, I 787, (2 0 -1)
- 3.865 Å, I 257, (1 1 -1)
- 3.364 Å, I 778, (1 1 1)
- 3.201 Å, I 208, (2 0 1)
- 2.986 Å, I 1000, (3 1 0)
- 2.930 Å, I 622, (0 2 0)
- 2.895 Å, I 428, (3 1 -1)
- 2.416 Å, I 535, (2 2 -1)
- 2.397 Å, I 511, (1 1 -2)
- 2.161 Å, I 367, (2 2 1)
- 1.701 Å, I 239, (3 3 0)
- 1.683 Å, I 463, (2 2 2)